For AlNi2BO5, the PBE+U geometry in Alexandria gives the simulated X-ray diffraction stick pattern in this record (Cu Ka).

Most intense lines, 10 to 90 degrees two-theta, by angle:
| 2theta | I/Imax |
| --- | --- |
| 19.1 | 90 |
| 33.0 | 30 |
| 35.4 | 100 |
| 36.4 | 68 |
| 39.3 | 77 |
| 43.2 | 34 |
| 48.4 | 63 |
| 63.3 | 48 |
| 63.7 | 32 |
| 63.8 | 25 |

```
data_AlNi2BO5
_space_group_name_H-M_alt 'P b a m'
_space_group_IT_number 55
_space_group_name_Hall '-P 2 2ab'
_cell_length_a 9.296
_cell_length_b 12.110
_cell_length_c 2.918
_cell_angle_alpha 90.00
_cell_angle_beta 90.00
_cell_angle_gamma 90.00
loop_
_atom_site_label
_atom_site_fract_x
_atom_site_fract_y
_atom_site_fract_z
Al1 0.239 0.114 0.000
Ni1 0.000 0.000 0.500
Ni2 0.000 0.500 0.000
Ni3 0.004 0.720 0.500
B1 0.233 0.861 0.000
O1 0.115 0.143 0.500
O2 0.119 0.360 0.000
O3 0.127 0.579 0.500
O4 0.157 0.961 0.000
O5 0.161 0.761 0.000
```